No. 1
Structure and computed powder XRD pattern of TbPa2AgO8 (a PBE-relaxed structure; Cu Ka).
No peak broadening, texture or thermal motion is included.

Most intense lines, 2θ from 10° to 90°, by angle:
d [Å], I_rel
4.844, 102
3.125, 1000
2.707, 339
1.914, 510
1.633, 305
1.630, 151
1.563, 97
1.241, 124
1.211, 89
1.106, 112

Crystal structure
```
data_TbPa2AgO8
_chemical_formula_sum 'Tb2 Pa4 Ag2 O16'
_cell_length_a 5.4186
_cell_length_b 5.4186
_cell_length_c 10.8055
_cell_angle_alpha 90.00
_cell_angle_beta 90.00
_cell_angle_gamma 90.00
_symmetry_space_group_name_H-M 'I -4 m 2'
_symmetry_Int_Tables_number 119
_symmetry_space_group_name_Hall 'I -4 -2'
loop_
_atom_site_label
_atom_site_type_symbol
_atom_site_fract_x
_atom_site_fract_y
_atom_site_fract_z
_atom_site_occupancy
Tb1 Tb 0.0000 0.0000 0.0000 1
Pa1 Pa 0.0000 0.0000 0.5000 1
Pa2 Pa 0.0000 0.5000 0.2500 1
Ag1 Ag 0.0000 0.5000 0.7500 1
O1 O 0.2347 0.2544 0.3768 1
```

=====

No. 2
Structure and computed powder XRD pattern of TlCdFeCl5 (a PBE-relaxed structure; Cu Ka).
No peak broadening, texture or thermal motion is included.

Most intense lines, 2θ from 10° to 90°, by angle:
d [Å], I_rel
4.368, 1000
4.106, 808
3.588, 839
3.530, 448
3.057, 264
2.799, 294
2.357, 274
2.337, 278
2.257, 394
2.026, 290

Crystal structure
```
data_TlCdFeCl5
_chemical_formula_sum 'Tl4 Cd4 Fe4 Cl20'
_cell_length_a 8.9175
_cell_length_b 11.9663
_cell_length_c 9.4941
_cell_angle_alpha 90.00
_cell_angle_beta 112.94
_cell_angle_gamma 90.00
_symmetry_space_group_name_H-M 'C 1 2/c 1'
_symmetry_Int_Tables_number 15
loop_
_symmetry_equiv_pos_as_xyz
'x,y,z'
'-x,-y,-z'
'-x,y,-z+1/2'
'x,-y,z+1/2'
'x+1/2,y+1/2,z'
'-x+1/2,-y+1/2,-z'
'-x+1/2,y+1/2,-z+1/2'
'x+1/2,-y+1/2,z+1/2'
loop_
_atom_site_label
_atom_site_type_symbol
_atom_site_fract_x
_atom_site_fract_y
_atom_site_fract_z
_atom_site_occupancy
Tl1 Tl 0.0000 0.1563 0.2500 1
Cd1 Cd 0.0000 0.5000 0.0000 1
Fe1 Fe 0.0000 0.1855 0.7500 1
Cl1 Cl 0.0000 0.4199 0.2500 1
Cl2 Cl 0.1117 0.2944 0.6161 1
Cl3 Cl 0.1819 0.0716 0.9319 1
```

=====

No. 3
Structure and computed powder XRD pattern of Pu6Fe23 (a PBE-relaxed structure; Cu Ka).
No peak broadening, texture or thermal motion is included.

Most intense lines, 2θ from 10° to 90°, by angle:
d [Å], I_rel
3.433, 568
2.973, 351
2.728, 238
2.428, 346
2.289, 828
2.102, 1000
1.548, 207
1.453, 212
1.402, 211
1.150, 276

Crystal structure
```
data_Pu6Fe23
_chemical_formula_sum 'Pu24 Fe92'
_cell_length_a 11.8930
_cell_length_b 11.8930
_cell_length_c 11.8930
_cell_angle_alpha 90.00
_cell_angle_beta 90.00
_cell_angle_gamma 90.00
_symmetry_space_group_name_H-M 'F m -3 m'
_symmetry_Int_Tables_number 225
_symmetry_space_group_name_Hall '-F 4 2 3'
loop_
_atom_site_label
_atom_site_type_symbol
_atom_site_fract_x
_atom_site_fract_y
_atom_site_fract_z
_atom_site_occupancy
Pu1 Pu 0.0000 0.0000 0.2142 1
Fe1 Fe 0.0000 0.0000 0.5000 1
Fe2 Fe 0.0000 0.2500 0.2500 1
Fe3 Fe 0.1201 0.1201 0.3799 1
Fe4 Fe 0.1748 0.1748 0.1748 1
```